Entry 1:
This entry pairs a crystal structure of Dy3LuSc2Te2Os with its computed powder diffractogram. Radiation: Cu Kα (weighted mean of Kα1 and Kα2). Structure: a DFT-relaxed cell (PBE, OQMD).
Lines closer than 0.1° are merged.

Top 8 peaks for 2θ = 15–90°, in order of rising 2θ:
25.6°, I = 26, (0 4 0)
31.5°, I = 85, (1 3 1)
34.1°, I = 100, (1 2 2)
38.8°, I = 19, (0 6 0)
39.0°, I = 26, (0 3 3)
41.1°, I = 27, (1 4 2)
45.1°, I = 26, (2 0 0)
62.7°, I = 23, (1 8 2)

Cell and atoms:
a b c (Å): 4.018 13.917 7.996
angles (deg): 90.00 90.00 90.00
Space group Amm2 (No. 38)
One atom of each set of equivalent atoms:
1 Dy 0.000 0.000 0.000 (multiplicity 2)
2 Dy 0.000 0.197 0.420 (multiplicity 4)
3 Lu 0.500 0.000 0.385 (multiplicity 2)
4 Sc 0.500 0.118 0.728 (multiplicity 4)
5 Te 0.500 0.168 0.113 (multiplicity 4)
6 Os 0.000 0.000 0.633 (multiplicity 2)

***

Entry 2:
This entry pairs a crystal structure of Co2W8C3N3 with its computed powder diffractogram. Radiation: Cu Kα (weighted mean of Kα1 and Kα2). Structure: a DFT-relaxed cell (PBE, OQMD).
Lines closer than 0.1° are merged.

Top 8 peaks for 2θ = 15–90°, in order of rising 2θ:
28.5°, I = 37, (0 0 8)
35.8°, I = 34, (0 0 10)
36.6°, I = 46, (0 1 2)
37.5°, I = 23, (1 0 3)
40.2°, I = 62, (1 0 5)
42.0°, I = 100, (0 1 6)
57.4°, I = 26, (0 1 12)
64.4°, I = 37, (1 1 0)

Cell and atoms:
a b c (Å): 2.8938 2.8938 25.0781
angles (deg): 90.00 90.00 120.00
Space group P-3m1 (No. 164)
One atom of each set of equivalent atoms:
1 Co 0.3333 0.6667 0.2464 (multiplicity 2)
2 W 0.0000 0.0000 0.1634 (multiplicity 2)
3 W 0.0000 0.0000 0.3274 (multiplicity 2)
4 W 0.3333 0.6667 0.0552 (multiplicity 2)
5 W 0.3333 0.6667 0.4412 (multiplicity 2)
6 C 0.0000 0.0000 0.0000 (multiplicity 1)
7 C 0.3333 0.6667 0.8885 (multiplicity 2)
8 N 0.0000 0.0000 0.5000 (multiplicity 1)
9 N 0.3333 0.6667 0.6165 (multiplicity 2)